(1)
This entry pairs a crystal structure of NdMg20Ni2 with its simulated X-ray powder pattern. Radiation: Cu Kα (λ = 1.5418 Å). Structure: DFT lattice parameters and positions (GGA-PBE).
Intensities are scaled so that the largest is 100.

Top 8 peaks for 10 to 90 degrees two-theta, low angle first:
2θ/deg  d [Å]  I (rel.)
15.85  5.591  52
18.61  4.768  100
32.01  2.796  54
33.52  2.673  76
35.91  2.501  59
37.28  2.412  94
37.73  2.384  77
48.84  1.865  35

```
NdMg20Ni2
1.0
-5.597 5.597 7.892
5.597 -5.597 7.892
5.597 5.597 -7.892
Nd Mg Ni
2 40 4
Cartesian
5.597 2.798 1.973
0.000 2.798 5.919
5.597 0.000 0.000
5.597 2.798 -3.834
1.519 -1.280 1.973
9.675 -1.280 1.973
4.109 2.798 -1.254
7.085 2.798 -1.254
2.586 1.286 0.915
4.084 -0.213 3.031
7.109 -0.213 3.031
8.608 1.286 0.915
0.000 2.798 0.112
1.519 4.317 -1.973
4.078 -1.280 5.919
0.000 1.310 2.692
4.084 5.384 -3.031
1.512 -0.213 4.861
2.586 4.311 0.915
3.011 -1.286 8.807
5.597 1.310 5.200
-2.798 2.798 3.946
0.000 0.000 7.892
2.798 2.798 3.946
0.000 4.286 2.692
2.586 6.883 -0.915
3.011 1.286 6.977
4.084 5.810 3.031
1.512 0.213 10.923
5.597 4.286 5.200
1.519 6.877 1.973
4.078 1.280 9.865
5.597 2.798 7.780
-3.011 4.311 6.977
-1.512 5.810 4.861
1.512 5.810 4.861
3.011 4.311 6.977
-1.488 2.798 9.146
1.488 2.798 9.146
-4.078 6.877 5.919
4.078 6.877 5.919
0.000 2.798 11.726
0.000 0.000 0.000
2.798 2.798 -3.946
2.798 -2.798 3.946
0.000 5.597 0.000
```

(2)
This entry pairs a crystal structure of Er3Lu4Te2Pd2 with its simulated X-ray powder pattern. Radiation: Cu Kα (λ = 1.5418 Å). Structure: DFT lattice parameters and positions (GGA-PBE).
Intensities are scaled so that the largest is 100.

Top 8 peaks for 10 to 90 degrees two-theta, low angle first:
2θ/deg  d [Å]  I (rel.)
28.73  3.108  33
30.19  2.960  50
33.19  2.699  62
34.01  2.636  100
34.46  2.602  50
36.52  2.460  24
46.55  1.951  29
58.36  1.581  25

```
Er3Lu4Te2Pd2
1.0
-1.951 7.718 4.755
1.951 -7.718 4.755
1.951 7.718 -4.755
Er Lu Te Pd
3 4 2 2
Cartesian
0.000 0.000 0.000
1.951 5.704 -0.788
0.000 2.015 3.967
1.951 2.829 1.199
0.000 5.493 2.535
0.000 9.944 2.535
0.000 4.889 5.954
1.951 0.000 2.519
0.000 0.000 6.303
1.951 -4.096 4.101
1.951 4.096 4.101
```

(3)
This entry pairs a crystal structure of Gd5Si2Ge2 with its simulated X-ray powder pattern. Radiation: Cu Kα (λ = 1.5418 Å). Structure: DFT lattice parameters and positions (GGA-PBE).
Intensities are scaled so that the largest is 100.

Top 8 peaks for 10 to 90 degrees two-theta, low angle first:
2θ/deg  d [Å]  I (rel.)
26.50  3.363  54
31.11  2.875  100
31.92  2.804  50
32.63  2.744  50
32.89  2.723  41
33.39  2.684  95
35.05  2.560  44
37.32  2.409  70

```
Gd5Si2Ge2
1.0
14.821 0.000 0.000
0.000 7.798 0.000
-0.427 0.000 7.600
Gd Si Ge
20 8 8
Cartesian
1.303 1.410 3.758
1.090 2.489 7.557
1.499 5.176 4.883
1.713 6.520 1.083
3.285 0.046 6.247
3.499 3.852 2.447
5.294 5.277 5.078
5.508 6.420 1.278
5.661 1.439 3.942
5.875 2.460 0.143
8.519 5.338 7.457
8.732 6.359 3.657
8.886 1.378 6.321
9.099 2.521 2.521
10.895 3.945 5.152
11.108 7.751 1.352
12.681 1.278 6.516
12.894 2.621 2.717
13.304 5.309 0.042
13.090 6.388 3.842
3.645 0.997 1.609
3.431 2.902 5.408
3.322 4.725 7.220
3.536 6.972 3.420
10.858 0.826 4.179
11.071 3.073 0.380
10.962 4.896 2.191
10.749 6.800 5.991
0.499 4.177 2.219
0.286 7.519 6.019
6.650 4.138 2.598
6.437 7.559 6.398
7.957 0.239 1.201
7.743 3.660 5.001
14.108 0.278 1.581
13.894 3.621 5.381
```

(4)
This entry pairs a crystal structure of Cd3AsCl3 with its simulated X-ray powder pattern. Radiation: Cu Kα (λ = 1.5418 Å). Structure: DFT lattice parameters and positions (GGA-PBE).
Intensities are scaled so that the largest is 100.

Top 8 peaks for 10 to 90 degrees two-theta, low angle first:
2θ/deg  d [Å]  I (rel.)
17.94  4.944  51
22.79  3.902  46
25.93  3.436  86
29.15  3.063  100
36.34  2.472  62
44.08  2.055  73
46.55  1.951  76
55.81  1.647  49

```
Cd3AsCl3
1.0
7.805 0.000 0.000
-3.902 6.759 0.000
0.000 0.000 7.250
Cd As Cl
6 2 6
Cartesian
0.000 0.000 0.000
-1.951 3.380 3.625
0.000 4.506 7.176
3.902 0.000 3.625
1.951 3.380 3.625
3.902 2.253 0.074
0.000 4.506 2.476
3.902 2.253 4.774
0.000 2.269 5.811
-1.937 5.624 5.811
1.965 1.135 1.439
1.937 5.624 5.811
5.839 1.135 1.439
3.902 4.490 1.439
```

(5)
This entry pairs a crystal structure of H24PtC8N2F6 with its simulated X-ray powder pattern. Radiation: Cu Kα (λ = 1.5418 Å). Structure: DFT lattice parameters and positions (GGA-PBE).
Intensities are scaled so that the largest is 100.

Top 8 peaks for 10 to 90 degrees two-theta, low angle first:
2θ/deg  d [Å]  I (rel.)
14.00  6.328  100
16.17  5.480  21
22.95  3.875  50
26.98  3.305  52
36.67  2.451  21
42.88  2.109  23
49.18  1.853  23
60.31  1.535  13

```
H24PtC8N2F6
1.0
-3.875 3.875 5.479
3.875 -3.875 5.479
3.875 3.875 -5.479
H Pt C N F
24 1 8 2 6
Cartesian
4.256 -2.067 2.951
4.892 1.162 -1.290
5.202 -0.606 1.221
1.809 -0.380 2.528
2.549 0.606 1.221
3.270 -1.326 4.258
1.162 2.859 -1.290
4.892 1.162 1.290
5.942 0.380 2.528
-0.606 2.549 1.221
0.380 1.809 2.528
1.162 2.859 1.290
2.713 1.017 4.189
3.495 2.067 2.951
4.481 1.326 4.258
-2.067 3.495 2.951
-1.017 2.713 4.189
2.713 1.017 6.769
0.606 5.202 1.221
1.326 3.270 4.258
2.067 4.256 2.951
-1.326 4.481 4.258
-1.017 2.713 6.769
-0.380 5.942 2.528
0.000 0.000 5.479
2.681 -0.258 1.879
4.133 -1.195 3.600
5.070 0.258 1.879
3.618 1.195 3.600
0.258 2.681 1.879
-1.195 3.618 3.600
-0.258 5.070 1.879
1.195 4.133 3.600
3.875 0.000 2.739
0.000 3.875 2.739
2.818 2.217 0.000
0.000 0.000 3.513
1.658 -1.057 5.479
2.217 4.933 0.000
0.000 0.000 7.445
1.057 1.658 5.479
```

(6)
This entry pairs a crystal structure of CuSi2As with its simulated X-ray powder pattern. Radiation: Cu Kα (λ = 1.5418 Å). Structure: DFT lattice parameters and positions (GGA-PBE).
Intensities are scaled so that the largest is 100.

Top 8 peaks for 10 to 90 degrees two-theta, low angle first:
2θ/deg  d [Å]  I (rel.)
24.61  3.618  24
40.73  2.215  100
48.16  1.889  12
58.96  1.567  16
64.86  1.438  5
74.13  1.279  32
79.48  1.206  3
88.21  1.108  10

```
CuSi2As
1.0
0.000 3.133 3.133
3.133 0.000 3.133
3.133 3.133 0.000
Cu Si As
1 2 1
Cartesian
0.000 0.000 0.000
1.567 1.567 1.567
3.133 3.133 3.133
4.700 4.700 4.700
```

(7)
This entry pairs a crystal structure of Nb8In2C3N3 with its simulated X-ray powder pattern. Radiation: Cu Kα (λ = 1.5418 Å). Structure: DFT lattice parameters and positions (GGA-PBE).
Intensities are scaled so that the largest is 100.

Top 8 peaks for 10 to 90 degrees two-theta, low angle first:
2θ/deg  d [Å]  I (rel.)
32.98  2.716  32
35.90  2.501  100
37.52  2.397  82
39.44  2.285  76
52.38  1.747  15
58.51  1.577  42
65.64  1.422  14
70.60  1.334  44

```
Nb8In2C3N3
1.0
3.155 0.000 0.000
-1.577 2.732 0.000
0.000 0.000 24.991
Nb In C N
8 2 3 3
Cartesian
0.000 0.000 3.818
0.000 0.000 8.682
0.000 0.000 16.309
0.000 0.000 21.173
0.000 1.821 1.342
0.000 1.821 11.243
1.577 0.911 13.748
1.577 0.911 23.649
0.000 1.821 6.264
1.577 0.911 18.726
0.000 0.000 0.000
0.000 1.821 22.347
1.577 0.911 2.644
0.000 0.000 12.495
0.000 1.821 15.068
1.577 0.911 9.923
```

(8)
This entry pairs a crystal structure of NdAgSnO3 with its simulated X-ray powder pattern. Radiation: Cu Kα (λ = 1.5418 Å). Structure: DFT lattice parameters and positions (GGA-PBE).
Intensities are scaled so that the largest is 100.

Top 8 peaks for 10 to 90 degrees two-theta, low angle first:
2θ/deg  d [Å]  I (rel.)
25.05  3.555  76
31.54  2.837  100
33.14  2.703  54
34.23  2.620  28
40.31  2.238  19
43.18  2.095  24
47.23  1.924  38
54.44  1.685  42

```
NdAgSnO3
1.0
1.834 -6.713 0.000
1.834 6.713 0.000
0.000 0.000 8.381
Nd Ag Sn O
2 2 2 6
Cartesian
0.000 0.000 0.000
0.000 0.000 4.190
1.834 2.165 6.285
1.834 -2.165 2.095
1.834 2.313 2.095
1.834 -2.313 6.285
1.834 5.626 6.285
1.834 1.508 8.378
1.834 1.508 4.193
1.834 -1.508 0.003
1.834 -1.508 4.188
1.834 -5.626 2.095
```

(9)
This entry pairs a crystal structure of Nb4PbC3 with its simulated X-ray powder pattern. Radiation: Cu Kα (λ = 1.5418 Å). Structure: DFT lattice parameters and positions (GGA-PBE).
Intensities are scaled so that the largest is 100.

Top 8 peaks for 10 to 90 degrees two-theta, low angle first:
2θ/deg  d [Å]  I (rel.)
32.38  2.765  58
35.28  2.544  64
35.74  2.512  47
36.93  2.434  100
38.87  2.317  72
51.79  1.765  24
57.36  1.606  43
69.46  1.353  41

```
Nb4PbC3
1.0
3.212 0.000 0.000
-1.606 2.782 0.000
0.000 0.000 25.121
Nb Pb C
8 2 6
Cartesian
0.000 0.000 3.765
0.000 0.000 8.795
0.000 0.000 16.326
0.000 0.000 21.356
0.000 1.855 1.334
0.000 1.855 11.227
1.606 0.927 13.894
1.606 0.927 23.787
0.000 1.855 6.280
1.606 0.927 18.841
0.000 0.000 0.000
0.000 0.000 12.560
0.000 1.855 15.183
0.000 1.855 22.498
1.606 0.927 2.623
1.606 0.927 9.938
```

(10)
This entry pairs a crystal structure of MoI3Br2 with its simulated X-ray powder pattern. Radiation: Cu Kα (λ = 1.5418 Å). Structure: DFT lattice parameters and positions (GGA-PBE).
Intensities are scaled so that the largest is 100.

Top 8 peaks for 10 to 90 degrees two-theta, low angle first:
2θ/deg  d [Å]  I (rel.)
28.40  3.143  39
29.43  3.035  26
29.58  3.020  56
29.83  2.995  49
30.01  2.977  100
38.89  2.316  28
39.13  2.302  21
45.86  1.979  20

```
MoI3Br2
1.0
6.909 0.000 0.000
-3.422 6.569 0.000
-0.062 -3.746 9.297
Mo I Br
2 6 4
Cartesian
-0.015 0.641 2.105
3.440 2.182 7.192
-1.252 0.786 7.790
0.991 -2.307 8.876
2.201 -0.874 2.420
1.224 3.696 6.877
2.434 5.130 0.421
4.677 2.037 1.507
-2.367 3.242 5.289
1.057 2.575 3.133
2.368 0.247 6.164
5.792 -0.420 4.008
```